BRhAuCl: calculated powder XRD pattern (Cu Kα (λ = 1.5418 Å)), based on a structure optimized by DFT (PBE).
No peak broadening, texture or thermal motion is included.

Structure:
```
data_BRhAuCl
_chemical_formula_sum 'B1 Rh1 Au1 Cl1'
_cell_length_a 3.231
_cell_length_b 3.298
_cell_length_c 7.149
_cell_angle_alpha 99.70
_cell_angle_beta 93.76
_cell_angle_gamma 118.62
_space_group_name_H-M_alt 'P 1'
_space_group_IT_number 1
loop_
_space_group_symop_operation_xyz
'x,y,z'
loop_
_atom_site_label
_atom_site_type_symbol
_atom_site_fract_x
_atom_site_fract_y
_atom_site_fract_z
B1 B 0.000 0.000 0.000
Rh1 Rh 0.626 0.282 0.882
Au1 Au 0.606 0.235 0.245
Cl1 Cl 0.935 0.342 0.578
```

Most intense lines, 2θ from 15° to 90°, low angle first:
| index | 2theta | I/Imax |
| --- | --- | --- |
| 0 0 2 | 25.7 | 29 |
| 0 1 0 | 31.7 | 65 |
| 1 -1 0 | 32.0 | 100 |
| 0 1 -2 | 36.2 | 17 |
| 1 0 -2 | 37.7 | 20 |
| 0 0 3 | 38.9 | 36 |
| 1 -1 2 | 40.2 | 19 |
| 0 1 -3 | 44.6 | 21 |
| 1 0 -3 | 46.5 | 17 |
| 0 1 3 | 56.9 | 20 |

CrBTeAuI: calculated powder XRD pattern (Cu Kα (λ = 1.5418 Å)), based on a structure optimized by DFT (PBE).
No peak broadening, texture or thermal motion is included.

Structure:
```
data_CrBTeAuI
_chemical_formula_sum 'Cr2 B2 Te2 Au2 I2'
_cell_length_a 6.333
_cell_length_b 3.644
_cell_length_c 9.567
_cell_angle_alpha 90.00
_cell_angle_beta 90.01
_cell_angle_gamma 90.00
_space_group_name_H-M_alt 'C 1 m 1'
_space_group_IT_number 8
loop_
_space_group_symop_operation_xyz
'x,y,z'
'x,-y,z'
'x+1/2,y+1/2,z'
'x+1/2,-y+1/2,z'
loop_
_atom_site_label
_atom_site_type_symbol
_atom_site_fract_x
_atom_site_fract_y
_atom_site_fract_z
Cr1 Cr 0.000 0.000 0.000
B1 B 0.333 0.000 0.080
Te1 Te 0.333 0.000 0.830
Au1 Au 0.167 0.500 0.183
I1 I 0.168 0.500 0.472
```

Most intense lines, 2θ from 15° to 90°, low angle first:
| index | 2theta | I/Imax |
| --- | --- | --- |
| 0 0 3 | 28.0 | 31 |
| 2 0 0 | 28.2 | 39 |
| 2 0 -1 | 29.8 | 100 |
| 1 1 2 | 34.0 | 34 |
| 2 0 3 | 40.2 | 49 |
| 1 1 -4 | 47.7 | 45 |
| 3 1 0 | 49.9 | 24 |
| 0 2 0 | 50.1 | 12 |
| 3 1 3 | 58.2 | 18 |
| 1 1 7 | 75.8 | 14 |

CrBTeRhAu: calculated powder XRD pattern (Cu Kα (λ = 1.5418 Å)), based on a structure optimized by DFT (PBE).
No peak broadening, texture or thermal motion is included.

Structure:
```
data_CrBTeRhAu
_chemical_formula_sum 'Cr3 B3 Te3 Rh3 Au3'
_cell_length_a 3.2782
_cell_length_b 3.2782
_cell_length_c 26.1704
_cell_angle_alpha 90.00
_cell_angle_beta 90.00
_cell_angle_gamma 120.00
_space_group_name_H-M_alt 'R 3 m'
_space_group_IT_number 160
_space_group_name_Hall 'R 3 -2"'
loop_
_atom_site_label
_atom_site_type_symbol
_atom_site_fract_x
_atom_site_fract_y
_atom_site_fract_z
Cr1 Cr 0.0000 0.0000 0.0000
B1 B 0.0000 0.0000 0.3781
Te1 Te 0.0000 0.0000 0.5979
Rh1 Rh 0.0000 0.0000 0.7436
Au1 Au 0.0000 0.0000 0.4913
```

Most intense lines, 2θ from 15° to 90°, low angle first:
| index | 2theta | I/Imax |
| --- | --- | --- |
| 0 0 9 | 30.7 | 29 |
| 1 0 1 | 31.7 | 100 |
| 0 1 2 | 32.3 | 46 |
| 1 0 4 | 34.4 | 55 |
| 1 0 7 | 39.9 | 49 |
| 0 1 8 | 42.1 | 96 |
| 1 0 10 | 47.2 | 25 |
| 1 1 0 | 56.1 | 51 |
| 1 0 16 | 65.9 | 25 |
| 1 1 12 | 72.1 | 26 |

CrBTeRhAu: calculated powder XRD pattern (Cu Kα (λ = 1.5418 Å)), based on a structure optimized by DFT (PBE).
No peak broadening, texture or thermal motion is included.

Structure:
```
data_CrBTeRhAu
_chemical_formula_sum 'Cr3 B3 Te3 Rh3 Au3'
_cell_length_a 3.3103
_cell_length_b 3.3103
_cell_length_c 25.8374
_cell_angle_alpha 90.00
_cell_angle_beta 90.00
_cell_angle_gamma 120.00
_space_group_name_H-M_alt 'R 3 m'
_space_group_IT_number 160
_space_group_name_Hall 'R 3 -2"'
loop_
_atom_site_label
_atom_site_type_symbol
_atom_site_fract_x
_atom_site_fract_y
_atom_site_fract_z
Cr1 Cr 0.0000 0.0000 0.0000
B1 B 0.0000 0.0000 0.7115
Te1 Te 0.0000 0.0000 0.2645
Rh1 Rh 0.0000 0.0000 0.4091
Au1 Au 0.0000 0.0000 0.1571
```

Most intense lines, 2θ from 15° to 90°, low angle first:
| index | 2theta | I/Imax |
| --- | --- | --- |
| 0 0 9 | 31.2 | 22 |
| 1 0 1 | 31.4 | 100 |
| 1 0 4 | 34.2 | 24 |
| 1 0 7 | 39.8 | 61 |
| 0 0 12 | 42.0 | 16 |
| 0 1 8 | 42.1 | 60 |
| 0 1 11 | 50.2 | 17 |
| 1 1 0 | 55.5 | 40 |
| 1 1 9 | 65.0 | 18 |
| 1 1 12 | 72.0 | 19 |

ScCr2BAu: calculated powder XRD pattern (Cu Kα (λ = 1.5418 Å)), based on a structure optimized by DFT (PBE).
No peak broadening, texture or thermal motion is included.

Structure:
```
data_ScCr2BAu
_chemical_formula_sum 'Sc1 Cr2 B1 Au1'
_cell_length_a 4.801
_cell_length_b 4.801
_cell_length_c 4.954
_cell_angle_alpha 90.00
_cell_angle_beta 90.00
_cell_angle_gamma 90.00
_space_group_name_H-M_alt 'P 4/m m m'
_space_group_IT_number 123
_space_group_name_Hall '-P 4 2'
loop_
_atom_site_label
_atom_site_type_symbol
_atom_site_fract_x
_atom_site_fract_y
_atom_site_fract_z
Sc1 Sc 0.000 0.000 0.000
Cr1 Cr 0.000 0.500 0.000
B1 B 0.500 0.500 0.500
Au1 Au 0.000 0.000 0.500
```

Most intense lines, 2θ from 15° to 90°, low angle first:
| index | 2theta | I/Imax |
| --- | --- | --- |
| 1 0 0 | 18.5 | 100 |
| 1 0 1 | 25.8 | 33 |
| 1 1 1 | 32.0 | 71 |
| 0 0 2 | 36.3 | 22 |
| 2 0 0 | 37.5 | 41 |
| 1 0 2 | 41.0 | 27 |
| 2 1 0 | 42.1 | 25 |
| 2 0 2 | 53.1 | 28 |
| 2 1 2 | 56.7 | 21 |
| 3 1 1 | 64.2 | 18 |

Cs2BAuI6: calculated powder XRD pattern (Cu Kα (λ = 1.5418 Å)), based on a structure optimized by DFT (PBE).
No peak broadening, texture or thermal motion is included.

Structure:
```
data_Cs2BAuI6
_chemical_formula_sum 'Cs4 B2 Au2 I12'
_cell_length_a 8.912
_cell_length_b 8.912
_cell_length_c 10.728
_cell_angle_alpha 90.00
_cell_angle_beta 90.00
_cell_angle_gamma 90.00
_space_group_name_H-M_alt 'I 4/m m m'
_space_group_IT_number 139
_space_group_name_Hall '-I 4 2'
loop_
_atom_site_label
_atom_site_type_symbol
_atom_site_fract_x
_atom_site_fract_y
_atom_site_fract_z
Cs1 Cs 0.000 0.500 0.250
B1 B 0.000 0.000 0.000
Au1 Au 0.000 0.000 0.500
I1 I 0.000 0.000 0.193
I2 I 0.229 0.229 0.500
```

Most intense lines, 2θ from 15° to 90°, low angle first:
| index | 2theta | I/Imax |
| --- | --- | --- |
| 1 1 2 | 21.8 | 22 |
| 2 0 2 | 26.0 | 94 |
| 1 0 3 | 26.9 | 37 |
| 2 2 0 | 28.3 | 100 |
| 0 0 4 | 33.4 | 23 |
| 2 1 3 | 33.7 | 22 |
| 4 0 0 | 40.5 | 36 |
| 2 2 4 | 44.4 | 39 |
| 3 2 3 | 44.6 | 29 |
| 4 2 2 | 48.7 | 27 |

FeBP2Au: calculated powder XRD pattern (Cu Kα (λ = 1.5418 Å)), based on a structure optimized by DFT (PBE).
No peak broadening, texture or thermal motion is included.

Structure:
```
data_FeBP2Au
_chemical_formula_sum 'Fe2 B2 P4 Au2'
_cell_length_a 5.463
_cell_length_b 3.158
_cell_length_c 8.779
_cell_angle_alpha 90.00
_cell_angle_beta 101.21
_cell_angle_gamma 90.00
_space_group_name_H-M_alt 'C 1 m 1'
_space_group_IT_number 8
loop_
_space_group_symop_operation_xyz
'x,y,z'
'x,-y,z'
'x+1/2,y+1/2,z'
'x+1/2,-y+1/2,z'
loop_
_atom_site_label
_atom_site_type_symbol
_atom_site_fract_x
_atom_site_fract_y
_atom_site_fract_z
Fe1 Fe 0.000 0.000 0.000
B1 B 0.058 0.500 0.682
P1 P 0.377 0.000 0.137
P2 P 0.409 0.500 0.737
Au1 Au 0.467 0.000 0.417
```

Most intense lines, 2θ from 15° to 90°, low angle first:
| index | 2theta | I/Imax |
| --- | --- | --- |
| 0 0 2 | 20.6 | 55 |
| 0 0 3 | 31.2 | 45 |
| 1 1 0 | 32.9 | 26 |
| 2 0 0 | 33.4 | 50 |
| 1 1 -1 | 33.5 | 100 |
| 1 1 1 | 35.6 | 48 |
| 2 0 -2 | 35.9 | 24 |
| 1 1 2 | 40.9 | 23 |
| 1 1 -4 | 51.5 | 28 |
| 0 2 0 | 58.5 | 36 |

FeBP2Au: calculated powder XRD pattern (Cu Kα (λ = 1.5418 Å)), based on a structure optimized by DFT (PBE).
No peak broadening, texture or thermal motion is included.

Structure:
```
data_FeBP2Au
_chemical_formula_sum 'Fe3 B3 P6 Au3'
_cell_length_a 3.1692
_cell_length_b 3.1692
_cell_length_c 24.3395
_cell_angle_alpha 90.00
_cell_angle_beta 90.00
_cell_angle_gamma 120.00
_space_group_name_H-M_alt 'R 3 m'
_space_group_IT_number 160
_space_group_name_Hall 'R 3 -2"'
loop_
_atom_site_label
_atom_site_type_symbol
_atom_site_fract_x
_atom_site_fract_y
_atom_site_fract_z
Fe1 Fe 0.0000 0.0000 0.0000
B1 B 0.0000 0.0000 0.9083
P1 P 0.0000 0.0000 0.2592
P2 P 0.0000 0.0000 0.7183
Au1 Au 0.0000 0.0000 0.8150
```

Most intense lines, 2θ from 15° to 90°, low angle first:
| index | 2theta | I/Imax |
| --- | --- | --- |
| 0 0 6 | 21.9 | 62 |
| 1 0 1 | 32.8 | 100 |
| 0 0 9 | 33.1 | 32 |
| 0 1 2 | 33.5 | 68 |
| 1 0 4 | 35.9 | 59 |
| 0 1 5 | 37.6 | 62 |
| 1 0 7 | 41.9 | 43 |
| 1 0 10 | 50.1 | 34 |
| 0 1 11 | 53.2 | 46 |
| 1 1 0 | 58.2 | 37 |

GaBTeRhAu: calculated powder XRD pattern (Cu Kα (λ = 1.5418 Å)), based on a structure optimized by DFT (PBE).
No peak broadening, texture or thermal motion is included.

Structure:
```
data_GaBTeRhAu
_chemical_formula_sum 'Ga1 B1 Te1 Rh1 Au1'
_cell_length_a 3.350
_cell_length_b 4.543
_cell_length_c 6.492
_cell_angle_alpha 80.01
_cell_angle_beta 89.72
_cell_angle_gamma 68.49
_space_group_name_H-M_alt 'P 1'
_space_group_IT_number 1
loop_
_space_group_symop_operation_xyz
'x,y,z'
loop_
_atom_site_label
_atom_site_type_symbol
_atom_site_fract_x
_atom_site_fract_y
_atom_site_fract_z
Ga1 Ga 0.000 0.000 0.000
B1 B 0.262 0.475 0.060
Te1 Te 0.595 0.821 0.588
Rh1 Rh 0.325 0.357 0.766
Au1 Au 0.807 0.380 0.286
```

Most intense lines, 2θ from 15° to 90°, low angle first:
| index | 2theta | I/Imax |
| --- | --- | --- |
| 0 1 -1 | 27.7 | 35 |
| 0 1 2 | 32.1 | 100 |
| 1 0 1 | 32.8 | 91 |
| 1 1 -1 | 33.0 | 91 |
| 0 1 -2 | 38.6 | 40 |
| 1 2 1 | 42.7 | 83 |
| 0 2 0 | 43.6 | 30 |
| 1 1 3 | 50.2 | 25 |
| 1 0 -3 | 50.4 | 26 |
| 2 1 0 | 54.8 | 24 |

GaBTeRhAu: calculated powder XRD pattern (Cu Kα (λ = 1.5418 Å)), based on a structure optimized by DFT (PBE).
No peak broadening, texture or thermal motion is included.

Structure:
```
data_GaBTeRhAu
_chemical_formula_sum 'Ga1 B1 Te1 Rh1 Au1'
_cell_length_a 3.317
_cell_length_b 4.282
_cell_length_c 7.064
_cell_angle_alpha 102.52
_cell_angle_beta 90.25
_cell_angle_gamma 111.95
_space_group_name_H-M_alt 'P 1'
_space_group_IT_number 1
loop_
_space_group_symop_operation_xyz
'x,y,z'
loop_
_atom_site_label
_atom_site_type_symbol
_atom_site_fract_x
_atom_site_fract_y
_atom_site_fract_z
Ga1 Ga 0.000 0.000 0.000
B1 B 0.281 0.545 0.013
Te1 Te 0.529 0.046 0.434
Rh1 Rh 0.784 0.548 0.194
Au1 Au 0.331 0.652 0.727
```

Most intense lines, 2θ from 15° to 90°, low angle first:
| index | 2theta | I/Imax |
| --- | --- | --- |
| 0 1 0 | 23.0 | 26 |
| 0 1 1 | 29.1 | 34 |
| 0 1 -2 | 30.5 | 100 |
| 1 0 1 | 33.1 | 91 |
| -1 1 1 | 33.4 | 88 |
| 0 1 2 | 39.0 | 45 |
| 1 1 -1 | 43.7 | 33 |
| 1 -2 1 | 44.4 | 32 |
| 1 0 -3 | 47.3 | 36 |
| 1 -1 3 | 47.5 | 31 |

GaBTeRhAu: calculated powder XRD pattern (Cu Kα (λ = 1.5418 Å)), based on a structure optimized by DFT (PBE).
No peak broadening, texture or thermal motion is included.

Structure:
```
data_GaBTeRhAu
_chemical_formula_sum 'Ga2 B2 Te2 Rh2 Au2'
_cell_length_a 2.982
_cell_length_b 3.110
_cell_length_c 19.345
_cell_angle_alpha 90.00
_cell_angle_beta 90.00
_cell_angle_gamma 90.00
_space_group_name_H-M_alt 'A m m 2'
_space_group_IT_number 38
loop_
_space_group_symop_operation_xyz
'x,y,z'
'-x,-y,z'
'-x,y,z'
'x,-y,z'
'x,y+1/2,z+1/2'
'-x,-y+1/2,z+1/2'
'-x,y+1/2,z+1/2'
'x,-y+1/2,z+1/2'
loop_
_atom_site_label
_atom_site_type_symbol
_atom_site_fract_x
_atom_site_fract_y
_atom_site_fract_z
Ga1 Ga 0.000 0.000 0.000
B1 B 0.000 0.000 0.388
Te1 Te 0.500 0.000 0.734
Rh1 Rh 0.500 0.000 0.886
Au1 Au 0.500 0.000 0.585
```

Most intense lines, 2θ from 15° to 90°, low angle first:
| index | 2theta | I/Imax |
| --- | --- | --- |
| 0 0 6 | 27.7 | 66 |
| 0 1 1 | 29.1 | 98 |
| 1 0 0 | 30.0 | 64 |
| 0 0 8 | 37.1 | 43 |
| 1 0 6 | 41.2 | 87 |
| 1 1 1 | 42.2 | 100 |
| 0 1 7 | 43.8 | 80 |
| 1 1 7 | 54.0 | 58 |
| 1 2 6 | 74.9 | 30 |
| 1 1 13 | 78.1 | 33 |

GeBAu: calculated powder XRD pattern (Cu Kα (λ = 1.5418 Å)), based on a structure optimized by DFT (PBE).
No peak broadening, texture or thermal motion is included.

Structure:
```
data_GeBAu
_chemical_formula_sum 'Ge2 B2 Au2'
_cell_length_a 3.134
_cell_length_b 5.759
_cell_length_c 6.731
_cell_angle_alpha 66.27
_cell_angle_beta 85.51
_cell_angle_gamma 81.10
_space_group_name_H-M_alt 'P 1'
_space_group_IT_number 1
loop_
_space_group_symop_operation_xyz
'x,y,z'
loop_
_atom_site_label
_atom_site_type_symbol
_atom_site_fract_x
_atom_site_fract_y
_atom_site_fract_z
Ge1 Ge 0.000 0.000 0.000
Ge2 Ge 0.467 0.246 0.499
B1 B 0.472 0.859 0.721
B2 B 0.981 0.785 0.794
Au1 Au 0.411 0.421 0.801
Au2 Au 0.948 0.484 0.179
```

Most intense lines, 2θ from 15° to 90°, low angle first:
| index | 2theta | I/Imax |
| --- | --- | --- |
| 0 1 0 | 17.0 | 100 |
| 0 1 2 | 27.2 | 43 |
| 1 1 1 | 31.5 | 26 |
| 1 0 1 | 32.1 | 43 |
| 1 0 -1 | 32.6 | 22 |
| 0 2 0 | 34.3 | 22 |
| 0 2 2 | 35.2 | 22 |
| 1 1 -1 | 37.9 | 28 |
| 1 -1 1 | 41.0 | 24 |
| -1 1 2 | 42.1 | 21 |

BHAuO2: calculated powder XRD pattern (Cu Kα (λ = 1.5418 Å)), based on a structure optimized by DFT (PBE).
No peak broadening, texture or thermal motion is included.

Structure:
```
data_BHAuO2
_chemical_formula_sum 'B1 H1 Au1 O2'
_cell_length_a 4.159
_cell_length_b 4.159
_cell_length_c 3.366
_cell_angle_alpha 90.00
_cell_angle_beta 90.00
_cell_angle_gamma 90.00
_space_group_name_H-M_alt 'P 4/m m m'
_space_group_IT_number 123
_space_group_name_Hall '-P 4 2'
loop_
_atom_site_label
_atom_site_type_symbol
_atom_site_fract_x
_atom_site_fract_y
_atom_site_fract_z
B1 B 0.000 0.000 0.000
H1 H 0.500 0.500 0.000
Au1 Au 0.500 0.500 0.500
O1 O 0.000 0.500 0.500
```

Most intense lines, 2θ from 15° to 90°, low angle first:
| index | 2theta | I/Imax |
| --- | --- | --- |
| 1 0 0 | 21.4 | 100 |
| 0 0 1 | 26.5 | 41 |
| 1 1 0 | 30.4 | 36 |
| 1 0 1 | 34.3 | 73 |
| 1 1 1 | 40.7 | 27 |
| 2 0 0 | 43.5 | 25 |
| 2 1 0 | 49.0 | 24 |
| 2 0 1 | 51.7 | 26 |
| 2 1 1 | 56.5 | 35 |
| 1 0 2 | 59.2 | 14 |

HfB2Au: calculated powder XRD pattern (Cu Kα (λ = 1.5418 Å)), based on a structure optimized by DFT (PBE).
No peak broadening, texture or thermal motion is included.

Structure:
```
data_HfB2Au
_chemical_formula_sum 'Hf4 B8 Au4'
_cell_length_a 4.012
_cell_length_b 4.012
_cell_length_c 14.570
_cell_angle_alpha 90.00
_cell_angle_beta 90.00
_cell_angle_gamma 90.00
_space_group_name_H-M_alt 'I -4 2 d'
_space_group_IT_number 122
_space_group_name_Hall 'I -4 2bw'
loop_
_atom_site_label
_atom_site_type_symbol
_atom_site_fract_x
_atom_site_fract_y
_atom_site_fract_z
Hf1 Hf 0.000 0.000 0.000
B1 B 0.089 0.250 0.625
Au1 Au 0.000 0.000 0.500
```

Most intense lines, 2θ from 15° to 90°, low angle first:
| index | 2theta | I/Imax |
| --- | --- | --- |
| 0 0 4 | 24.4 | 51 |
| 1 1 2 | 33.9 | 100 |
| 2 0 0 | 45.2 | 22 |
| 1 1 6 | 49.4 | 35 |
| 2 0 4 | 52.0 | 31 |
| 2 0 8 | 69.7 | 12 |
| 2 2 4 | 71.4 | 12 |
| 1 1 10 | 73.0 | 11 |
| 3 1 2 | 76.2 | 20 |
| 3 1 6 | 86.6 | 15 |